Diffraction record for Li2NpTlBr6. The powder XRD pattern is computed, not measured: it uses a structure optimized by DFT (GGA-PBE) and a wavelength of 1.5418 Å.
Peak positions follow from Bragg's law for the DFT cell and can differ from measured ones.

Most intense lines, 2θ from 10° to 90°, in order of rising 2θ:
d_spacing, I/Imax, hkl
5.378, 100, 0 1 2
3.944, 63, 1 0 4
3.222, 61, 2 -1 3
3.034, 65, 2 0 2
2.689, 32, 0 2 4
2.476, 71, 2 -1 6
2.339, 49, 3 -2 2
2.170, 29, 3 -1 4
2.122, 39, 3 0 0
1.445, 25, 5 -3 2

Atomic structure:
a = 7.3510 Å, b = 7.3510 Å, c = 20.0985 Å
α = 90.00°, β = 90.00°, γ = 120.00°
Space group R3 (No. 146, hexagonal axes)
One atom of each set of equivalent atoms:
Li 0.0000 0.0000 0.0000 [3 per cell]
Li 0.0000 0.0000 0.4953 [3 per cell]
Np 0.0000 0.0000 0.6903 [3 per cell]
Tl 0.0000 0.0000 0.2094 [3 per cell]
Br 0.0078 0.5833 0.2597 [9 per cell]
Br 0.0214 0.3367 0.0891 [9 per cell]